Record 1
Na2BeAs: simulated X-ray diffraction stick pattern (Cu Kα X-rays), based on a structure optimized by DFT (GGA-PBE).
Intensities are scaled so that the largest is 100.

Structure:
Cell lengths 5.6591, 5.6591, 10.1483 Å; angles 117.27, 117.27, 43.07 degrees
Element x y z (fractional)
Na1 0.1370 0.2169 0.0905
Na2 0.2169 0.1370 0.5905
Na3 0.7831 0.8630 0.4095
Na4 0.8630 0.7831 0.9095
Be1 0.3409 0.6591 0.7500
Be2 0.6591 0.3409 0.2500
As1 0.1583 0.8417 0.2500
As2 0.8417 0.1583 0.7500

Principal peaks in the range 10 to 80 degrees two-theta, low angle first:
| 2θ (°) | Rel. int. |
| --- | --- |
| 19.38 | 57 |
| 19.90 | 68 |
| 20.11 | 71 |
| 23.51 | 84 |
| 23.62 | 100 |
| 33.95 | 41 |
| 34.08 | 79 |
| 34.20 | 42 |
| 34.46 | 76 |
| 35.38 | 72 |

Record 2
NaBeAs2: simulated X-ray diffraction stick pattern (Cu Kα X-rays), based on a structure optimized by DFT (GGA-PBE).
Intensities are scaled so that the largest is 100.

Structure:
Cell lengths 11.8470, 3.7143, 11.8728 Å; angles 80.60, 18.02, 81.38 degrees
Element x y z (fractional)
Na1 0.1196 0.8804 0.1196
Na2 0.8804 0.1196 0.8804
Be1 0.2515 0.2515 0.2485
Be2 0.7515 0.7515 0.7485
As1 0.0565 0.5102 0.9435
As2 0.3125 0.6898 0.3102
As3 0.5102 0.0565 0.4898
As4 0.6898 0.3125 0.6875

Principal peaks in the range 10 to 80 degrees two-theta, low angle first:
| 2θ (°) | Rel. int. |
| --- | --- |
| 15.32 | 59 |
| 23.07 | 78 |
| 26.66 | 46 |
| 30.89 | 100 |
| 34.30 | 60 |
| 35.82 | 54 |
| 36.92 | 34 |
| 38.36 | 32 |
| 49.10 | 45 |
| 64.40 | 32 |

Record 3
NaBe3As3: simulated X-ray diffraction stick pattern (Cu Kα X-rays), based on a structure optimized by DFT (GGA-PBE).
Intensities are scaled so that the largest is 100.

Structure:
Cell lengths 8.5355, 8.5355, 8.5355 Å; angles 42.66, 42.66, 42.66 degrees
Element x y z (fractional)
Na1 0.1663 0.1663 0.1663
Na2 0.8337 0.8337 0.8337
Be1 0.0238 0.6928 0.3578
Be2 0.3072 0.6422 0.9762
Be3 0.3578 0.0238 0.6928
Be4 0.6422 0.9762 0.3072
Be5 0.6928 0.3578 0.0238
Be6 0.9762 0.3072 0.6422
As1 0.0730 0.4050 0.7332
As2 0.2668 0.9270 0.5950
As3 0.4050 0.7332 0.0730
As4 0.5950 0.2668 0.9270
As5 0.7332 0.0730 0.4050
As6 0.9270 0.5950 0.2668

Principal peaks in the range 10 to 80 degrees two-theta, low angle first:
| 2θ (°) | Rel. int. |
| --- | --- |
| 11.42 | 13 |
| 22.96 | 26 |
| 28.75 | 16 |
| 31.03 | 100 |
| 37.11 | 34 |
| 45.70 | 26 |
| 50.94 | 23 |
| 55.96 | 16 |
| 56.57 | 13 |
| 60.86 | 14 |

Record 4
NaBe2As2O7: simulated X-ray diffraction stick pattern (Cu Kα X-rays), based on a structure optimized by DFT (GGA-PBE).
Intensities are scaled so that the largest is 100.

Structure:
Cell lengths 8.1085, 8.1085, 8.1085 Å; angles 36.29, 36.29, 36.29 degrees
Element x y z (fractional)
Na1 0.0000 0.0000 0.0000
Be1 0.4327 0.4327 0.4327
Be2 0.5673 0.5673 0.5673
As1 0.2408 0.2408 0.2408
As2 0.7592 0.7592 0.7592
O1 0.0801 0.4432 0.6821
O2 0.3179 0.5568 0.9199
O3 0.4432 0.6821 0.0801
O4 0.5000 0.5000 0.5000
O5 0.5568 0.9199 0.3179
O6 0.6821 0.0801 0.4432
O7 0.9199 0.3179 0.5568

Principal peaks in the range 10 to 80 degrees two-theta, low angle first:
| 2θ (°) | Rel. int. |
| --- | --- |
| 21.77 | 50 |
| 23.52 | 49 |
| 25.71 | 100 |
| 35.55 | 38 |
| 37.79 | 33 |
| 43.06 | 14 |
| 44.39 | 22 |
| 51.19 | 15 |
| 58.11 | 20 |
| 63.84 | 14 |

Record 5
BeNi4As: simulated X-ray diffraction stick pattern (Cu Kα X-rays), based on a structure optimized by DFT (GGA-PBE).
Intensities are scaled so that the largest is 100.

Structure:
Cell lengths 4.0751, 7.0246, 4.7969 Å; angles 90.00, 90.00, 90.00 degrees
Element x y z (fractional)
Be1 0.0000 0.0000 0.0000
Be2 0.5000 0.0000 0.5000
Ni1 0.0000 0.1595 0.4016
Ni2 0.0000 0.3145 0.9144
Ni3 0.0000 0.6855 0.0856
Ni4 0.0000 0.8405 0.5984
Ni5 0.5000 0.1595 0.0984
Ni6 0.5000 0.3145 0.5856
Ni7 0.5000 0.6855 0.4144
Ni8 0.5000 0.8405 0.9016
As1 0.0000 0.5000 0.5000
As2 0.5000 0.5000 0.0000

Principal peaks in the range 10 to 80 degrees two-theta, low angle first:
| 2θ (°) | Rel. int. |
| --- | --- |
| 12.60 | 23 |
| 28.75 | 11 |
| 31.57 | 29 |
| 37.50 | 22 |
| 38.70 | 25 |
| 44.46 | 45 |
| 45.76 | 62 |
| 48.70 | 100 |
| 59.53 | 11 |
| 63.96 | 16 |

Record 6
BeAsO5: simulated X-ray diffraction stick pattern (Cu Kα X-rays), based on a structure optimized by DFT (GGA-PBE).
Intensities are scaled so that the largest is 100.

Structure:
Cell lengths 8.6335, 4.4365, 8.9230 Å; angles 90.00, 90.00, 90.00 degrees
Element x y z (fractional)
Be1 0.0691 0.0800 0.0000
Be2 0.4309 0.0800 0.5000
Be3 0.5691 0.9200 0.0000
Be4 0.9309 0.9200 0.5000
As1 0.0695 0.4231 0.6835
As2 0.4305 0.4231 0.1835
As3 0.5695 0.5769 0.6835
As4 0.9305 0.5769 0.1835
O1 0.0400 0.2688 0.8520
O2 0.0661 0.1729 0.5355
O3 0.0689 0.2929 0.1533
O4 0.2297 0.8826 0.9756
O5 0.2428 0.6336 0.6844
O6 0.2572 0.6336 0.1844
O7 0.2703 0.8826 0.4756
O8 0.4311 0.2929 0.6533
O9 0.4339 0.1729 0.0355
O10 0.4600 0.2688 0.3520
O11 0.5400 0.7312 0.8520
O12 0.5661 0.8271 0.5355
O13 0.5689 0.7071 0.1533
O14 0.7297 0.1174 0.9756
O15 0.7428 0.3664 0.6844
O16 0.7572 0.3664 0.1844
O17 0.7703 0.1174 0.4756
O18 0.9311 0.7071 0.6533
O19 0.9339 0.8271 0.0355
O20 0.9600 0.7312 0.3520

Principal peaks in the range 10 to 80 degrees two-theta, low angle first:
| 2θ (°) | Rel. int. |
| --- | --- |
| 19.90 | 75 |
| 20.01 | 40 |
| 20.58 | 37 |
| 22.89 | 53 |
| 24.67 | 31 |
| 28.37 | 100 |
| 28.81 | 32 |
| 30.58 | 38 |
| 37.24 | 46 |
| 56.28 | 27 |

Record 7
PmBeAsO: simulated X-ray diffraction stick pattern (Cu Kα X-rays), based on a structure optimized by DFT (GGA-PBE).
Intensities are scaled so that the largest is 100.

Structure:
Cell lengths 3.9267, 3.9267, 10.1870 Å; angles 90.00, 90.00, 120.00 degrees
Element x y z (fractional)
Pm1 0.3333 0.6667 0.0000
Pm2 0.6667 0.3333 0.5000
Be1 0.0000 0.0000 0.2236
Be2 0.0000 0.0000 0.7236
As1 0.3333 0.6667 0.2980
As2 0.6667 0.3333 0.7980
O1 0.0000 0.0000 0.0676
O2 0.0000 0.0000 0.5676

Principal peaks in the range 10 to 80 degrees two-theta, low angle first:
| 2θ (°) | Rel. int. |
| --- | --- |
| 17.41 | 27 |
| 26.21 | 28 |
| 27.65 | 100 |
| 35.24 | 22 |
| 37.43 | 98 |
| 46.24 | 47 |
| 59.44 | 28 |
| 60.95 | 31 |
| 70.37 | 16 |
| 79.79 | 25 |

Record 8
PmBe4As3O12: simulated X-ray diffraction stick pattern (Cu Kα X-rays), based on a structure optimized by DFT (GGA-PBE).
Intensities are scaled so that the largest is 100.

Structure:
Cell lengths 6.2501, 6.2501, 6.2501 Å; angles 105.08, 105.08, 105.08 degrees
Element x y z (fractional)
Pm1 0.0000 0.0000 0.0000
Be1 0.0624 0.5000 0.9376
Be2 0.5000 0.5000 0.5000
Be3 0.5000 0.9376 0.0624
Be4 0.9376 0.0624 0.5000
As1 0.0000 0.5559 0.4441
As2 0.4441 0.0000 0.5559
As3 0.5559 0.4441 0.0000
O1 0.0270 0.6383 0.7687
O2 0.0961 0.9039 0.5000
O3 0.2313 0.3617 0.9730
O4 0.3419 0.6581 0.5000
O5 0.3617 0.9730 0.2313
O6 0.5000 0.0961 0.9039
O7 0.5000 0.3419 0.6581
O8 0.6383 0.7687 0.0270
O9 0.6581 0.5000 0.3419
O10 0.7687 0.0270 0.6383
O11 0.9039 0.5000 0.0961
O12 0.9730 0.2313 0.3617

Principal peaks in the range 10 to 80 degrees two-theta, low angle first:
| 2θ (°) | Rel. int. |
| --- | --- |
| 15.69 | 13 |
| 17.88 | 27 |
| 23.87 | 100 |
| 29.98 | 23 |
| 31.68 | 78 |
| 36.21 | 22 |
| 36.61 | 12 |
| 45.08 | 26 |
| 51.94 | 24 |
| 53.32 | 15 |

Record 9
PuBe2AsO8: simulated X-ray diffraction stick pattern (Cu Kα X-rays), based on a structure optimized by DFT (GGA-PBE).
Intensities are scaled so that the largest is 100.

Structure:
Cell lengths 4.9478, 4.9478, 6.1289 Å; angles 90.00, 90.00, 120.00 degrees
Element x y z (fractional)
Pu1 0.0000 0.0000 0.0000
Be1 0.3333 0.6667 0.7527
Be2 0.6667 0.3333 0.2473
As1 0.0000 0.0000 0.5000
O1 0.0888 0.3140 0.6949
O2 0.2252 0.9112 0.6949
O3 0.3140 0.2252 0.3051
O4 0.3333 0.6667 0.0166
O5 0.6667 0.3333 0.9834
O6 0.6860 0.7748 0.6949
O7 0.7748 0.0888 0.3051
O8 0.9112 0.6860 0.3051

Principal peaks in the range 10 to 80 degrees two-theta, low angle first:
| 2θ (°) | Rel. int. |
| --- | --- |
| 14.45 | 18 |
| 20.73 | 100 |
| 25.36 | 23 |
| 36.03 | 43 |
| 36.31 | 26 |
| 39.27 | 18 |
| 47.22 | 32 |
| 52.09 | 21 |
| 56.85 | 12 |
| 65.15 | 18 |

Record 10
Be2Tl2AsO6: simulated X-ray diffraction stick pattern (Cu Kα X-rays), based on a structure optimized by DFT (GGA-PBE).
Intensities are scaled so that the largest is 100.

Structure:
Cell lengths 6.3960, 6.3960, 6.3960 Å; angles 48.85, 48.85, 48.85 degrees
Element x y z (fractional)
Be1 0.1094 0.1094 0.1094
Be2 0.8906 0.8906 0.8906
Tl1 0.2883 0.2883 0.2883
Tl2 0.7117 0.7117 0.7117
As1 0.5000 0.5000 0.5000
O1 0.2373 0.7298 0.7298
O2 0.2702 0.2702 0.7627
O3 0.2702 0.7627 0.2702
O4 0.7298 0.2373 0.7298
O5 0.7298 0.7298 0.2373
O6 0.7627 0.2702 0.2702

Principal peaks in the range 10 to 80 degrees two-theta, low angle first:
| 2θ (°) | Rel. int. |
| --- | --- |
| 20.09 | 42 |
| 22.08 | 65 |
| 28.78 | 43 |
| 32.99 | 100 |
| 33.89 | 84 |
| 40.83 | 33 |
| 45.05 | 26 |
| 48.02 | 27 |
| 60.07 | 36 |
| 60.60 | 44 |

Record 11
Be2AsOs: simulated X-ray diffraction stick pattern (Cu Kα X-rays), based on a structure optimized by DFT (GGA-PBE).
Intensities are scaled so that the largest is 100.

Structure:
Cell lengths 3.9236, 3.9236, 3.0601 Å; angles 90.00, 90.00, 98.30 degrees
Element x y z (fractional)
Be1 0.0000 0.5000 0.0000
Be2 0.5000 0.0000 0.0000
As1 0.0000 0.0000 0.5000
Os1 0.5000 0.5000 0.5000

Principal peaks in the range 10 to 80 degrees two-theta, low angle first:
| 2θ (°) | Rel. int. |
| --- | --- |
| 22.91 | 67 |
| 29.18 | 100 |
| 30.11 | 92 |
| 34.96 | 63 |
| 37.42 | 39 |
| 42.43 | 88 |
| 46.17 | 69 |
| 46.80 | 66 |
| 56.11 | 65 |
| 79.81 | 28 |

Record 12
Be4As2P: simulated X-ray diffraction stick pattern (Cu Kα X-rays), based on a structure optimized by DFT (GGA-PBE).
Intensities are scaled so that the largest is 100.

Structure:
Cell lengths 6.2453, 6.2453, 6.2453 Å; angles 128.29, 128.29, 76.16 degrees
Element x y z (fractional)
Be1 0.1564 0.1564 0.6211
Be2 0.4647 0.8436 0.0000
Be3 0.5353 0.5353 0.3789
Be4 0.8436 0.4647 0.0000
As1 0.2500 0.7500 0.5000
As2 0.7500 0.2500 0.5000
P1 0.5000 0.5000 0.0000

Principal peaks in the range 10 to 80 degrees two-theta, low angle first:
| 2θ (°) | Rel. int. |
| --- | --- |
| 18.04 | 43 |
| 18.62 | 14 |
| 23.09 | 38 |
| 29.46 | 100 |
| 32.89 | 30 |
| 37.76 | 21 |
| 43.69 | 16 |
| 47.19 | 15 |
| 49.98 | 25 |
| 56.62 | 31 |